Diffraction record for La2Sm2AlGa4. The powder X-ray diffraction pattern is computed, not measured: it uses a DFT-relaxed cell (PBE, Alexandria) and Cu Kα, 1.54184 Å.

Largest 12 diffraction maxima, in order of rising 2θ, 2θ = 15–90°:
2theta	I_rel
24.87	16
31.85	100
32.15	18
35.46	54
41.07	17
51.02	19
54.33	13
55.36	8
57.55	8
61.42	30
75.67	9
85.84	8

Cell and atoms:
Cell: 7.160 7.160 9.066 Å, 90.00 90.00 90.00°
Space group I4/mmm (No. 139)
Unique sites:
La1 0.000 0.500 0.250
Sm1 0.000 0.000 0.184
Al1 0.000 0.000 0.500
Ga1 0.246 0.246 0.500